Simulated XRD peak list of Sm3Pd2Au7 for Cu Kα, 1.54184 Å, from a crystal structure in Alexandria, relaxed with GGA-PBE.
Kinematic intensities with the Lorentz-polarization factor, no thermal factor.

Largest 10 diffraction maxima, sorted by position, 2θ = 5–70°:
2θ 5.70, I = 31, (0 2 0); 2θ 32.11, I = 11, (1 3 1); 2θ 32.33, I = 12, (0 8 1); 2θ 34.19, I = 100, (1 5 1); 2θ 37.11, I = 41, (1 7 1); 2θ 38.35, I = 17, (1 11 0); 2θ 40.73, I = 34, (0 14 0); 2θ 42.61, I = 31, (2 0 0); 2θ 45.84, I = 25, (0 0 2); 2θ 64.37, I = 18, (2 0 2)

Atomic structure:
Lattice parameters (Å, degrees): 4.243 30.992 3.959 90.00 90.00 90.00
Space group Cmmm (No. 65)
Symmetry-distinct sites (fractional):
Sm  0.000  0.000  0.000 x2
Sm  0.000  0.177  0.000 x4
Pd  0.000  0.363  0.500 x4
Au  0.000  0.079  0.500 x4
Au  0.000  0.277  0.500 x4
Au  0.000  0.426  0.000 x4
Au  0.000  0.500  0.500 x2